Simulated XRD peak list
Compound: Li3TiCr2O6
Radiation: Cu Ka
Structure: a DFT-relaxed cell (PBE+U, the Materials Project)
Neutral-atom scattering factors, no anomalous dispersion.

Crystal structure
abc: 5.874 6.679 6.690
angles: 96.70 115.94 102.61
Space group P-1 (No. 2)
Asymmetric unit:
Li 0.000 0.000 0.000 (multiplicity 1)
Li 0.001 0.662 0.671 (multiplicity 2)
Li 0.499 0.333 0.331 (multiplicity 2)
Li 0.500 0.000 0.000 (multiplicity 1)
Ti 0.233 0.000 0.500 (multiplicity 2)
Cr 0.249 0.332 0.835 (multiplicity 2)
Cr 0.252 0.667 0.167 (multiplicity 2)
O 0.120 0.346 0.070 (multiplicity 2)
O 0.121 0.677 0.404 (multiplicity 2)
O 0.132 0.009 0.758 (multiplicity 2)
O 0.377 0.323 0.596 (multiplicity 2)
O 0.380 0.653 0.929 (multiplicity 2)
O 0.380 0.987 0.265 (multiplicity 2)

Main lines, sorted by position (10 to 90 degrees two-theta):
d [Å], Position (°2θ), intensity, (hkl)
4.924, 18.02, 100, 0 1 -1
2.535, 35.40, 13, 0 2 1
2.515, 35.70, 26, -2 1 2
2.108, 42.90, 28, 0 3 0
2.101, 43.05, 56, 2 0 -3
1.628, 56.52, 13, 0 4 -1
1.504, 61.68, 8, 0 1 -4
1.494, 62.12, 15, 2 3 -3